Computed powder XRD pattern
Compound: NaCoP2S8
Radiation: Cu Kα, 1.54184 Å
Structure: a structure optimized by DFT (PBE)
No peak broadening, texture or thermal motion is included.

Largest 6 diffraction maxima, by angle, 2θ from 5° to 70°:
9.38°, I = 100.0, (0 0 1)
20.52°, I = 64.8, (0 1 1)
26.31°, I = 36.0, (1 0 2)
33.23°, I = 42.5, (1 1 1)
37.22°, I = 48.5, (2 -1 2)
50.51°, I = 31.6, (1 1 4)

Crystal structure
Cell lengths 5.6275, 5.6275, 9.4259 Å; angles 90.00, 90.00, 120.00 degrees
Positions (direct):
Na 0.0000 0.0000 0.0000
Co 0.0000 0.0000 0.5000
P 0.3333 0.6667 0.7095
P 0.6667 0.3333 0.2905
S 0.0230 0.6919 0.3546
S 0.3081 0.3312 0.3546
S 0.3312 0.0230 0.6454
S 0.3333 0.6667 0.9216
S 0.6667 0.3333 0.0784
S 0.6688 0.9770 0.3546
S 0.6919 0.6688 0.6454
S 0.9770 0.3081 0.6454